(1)
HfZr5N3: theoretical XRD peak list (Cu Kα, 1.54184 Å), based on a cell relaxed with GGA-PBE.

Structural model:
```
data_HfZr5N3
_symmetry_space_group_name_H-M 'C m m m'
_symmetry_Int_Tables_number 65
_symmetry_space_group_name_Hall '-C 2 2'
_cell_length_a 7.7078
_cell_length_b 22.8713
_cell_length_c 3.3112
_cell_angle_alpha 90.00
_cell_angle_beta 90.00
_cell_angle_gamma 90.00
loop_
_atom_site_label
_atom_site_type_symbol
_atom_site_fract_x
_atom_site_fract_y
_atom_site_fract_z
Hf1 Hf 0.0000 0.0981 0.0000
Zr1 Zr 0.0000 0.2340 0.0000
Zr2 Zr 0.0000 0.4317 0.0000
Zr3 Zr 0.2051 0.0000 0.5000
Zr4 Zr 0.2048 0.3335 0.5000
N1 N 0.0000 0.0000 0.0000
N2 N 0.0000 0.1639 0.5000
N3 N 0.0000 0.3328 0.0000
N4 N 0.0000 0.5000 0.5000
```

Largest 6 diffraction maxima, in order of rising 2θ, 2θ from 10° to 80°:
hkl  Position (°2θ)  I/Imax
2 6 0  33.05  86
2 0 1  35.75  100
0 6 1  35.93  94
3 3 0  36.92  25
1 9 0  37.26  31
3 9 1  58.17  36

(2)
UGa4Au2: theoretical XRD peak list (Cu Kα, 1.54184 Å), based on a cell relaxed with GGA-PBE.

Structural model:
```
data_UGa4Au2
_symmetry_space_group_name_H-M 'P n m a'
_symmetry_Int_Tables_number 62
_cell_length_a 17.3707
_cell_length_b 4.4722
_cell_length_c 6.8756
_cell_angle_alpha 90.00
_cell_angle_beta 90.00
_cell_angle_gamma 90.00
loop_
_symmetry_equiv_pos_as_xyz
'x,y,z'
'-x,-y,-z'
'-x+1/2,-y,z+1/2'
'x+1/2,y,-z+1/2'
'x+1/2,-y+1/2,-z+1/2'
'-x+1/2,y+1/2,z+1/2'
'-x,y+1/2,-z'
'x,-y+1/2,z'
loop_
_atom_site_label
_atom_site_type_symbol
_atom_site_fract_x
_atom_site_fract_y
_atom_site_fract_z
U1 U 0.1381 0.2500 0.0132
Ga1 Ga 0.0386 0.7500 0.8464
Ga2 Ga 0.0665 0.2500 0.4700
Ga3 Ga 0.1835 0.7500 0.3216
Ga4 Ga 0.1867 0.7500 0.7305
Au1 Au 0.0329 0.7500 0.2421
Au2 Au 0.2155 0.2500 0.5313
```

Largest 6 diffraction maxima, in order of rising 2θ, 2θ from 10° to 80°:
hkl  Position (°2θ)  I/Imax
2 0 2  27.91  24
2 1 2  34.49  100
5 1 1  35.22  64
7 0 1  38.57  33
0 2 0  40.33  50
2 1 3  45.70  37

(3)
MnAl6Zn3: theoretical XRD peak list (Cu Kα, 1.54184 Å), based on a cell relaxed with GGA-PBE.

Structural model:
```
data_MnAl6Zn3
_symmetry_space_group_name_H-M 'R -3'
_symmetry_Int_Tables_number 148
_symmetry_space_group_name_Hall '-R 3'
_cell_length_a 11.4246
_cell_length_b 11.4246
_cell_length_c 8.3779
_cell_angle_alpha 90.00
_cell_angle_beta 90.00
_cell_angle_gamma 120.00
loop_
_atom_site_label
_atom_site_type_symbol
_atom_site_fract_x
_atom_site_fract_y
_atom_site_fract_z
Mn1 Mn 0.0000 0.0000 0.0000
Mn2 Mn 0.0000 0.0000 0.5000
Al1 Al 0.0056 0.7752 0.0578
Al2 Al 0.0742 0.5868 0.1252
Zn1 Zn 0.0181 0.8653 0.7528
```

Largest 6 diffraction maxima, in order of rising 2θ, 2θ from 10° to 80°:
hkl  Position (°2θ)  I/Imax
1 1 0  15.51  91
3 1 2  39.25  64
3 2 1  41.21  83
0 4 2  42.43  41
1 0 4  44.20  46
4 -2 3  45.43  100

(4)
YbSbIr: theoretical XRD peak list (Cu Kα, 1.54184 Å), based on a cell relaxed with GGA-PBE.

Structural model:
```
data_YbSbIr
_symmetry_space_group_name_H-M 'P n m a'
_symmetry_Int_Tables_number 62
_cell_length_a 7.3004
_cell_length_b 4.5623
_cell_length_c 7.8008
_cell_angle_alpha 90.00
_cell_angle_beta 90.00
_cell_angle_gamma 90.00
loop_
_symmetry_equiv_pos_as_xyz
'x,y,z'
'-x,-y,-z'
'-x+1/2,-y,z+1/2'
'x+1/2,y,-z+1/2'
'x+1/2,-y+1/2,-z+1/2'
'-x+1/2,y+1/2,z+1/2'
'-x,y+1/2,-z'
'x,-y+1/2,z'
loop_
_atom_site_label
_atom_site_type_symbol
_atom_site_fract_x
_atom_site_fract_y
_atom_site_fract_z
Yb1 Yb 0.0181 0.2500 0.1911
Sb1 Sb 0.1747 0.2500 0.5815
Ir1 Ir 0.2029 0.7500 0.4022
```

Largest 6 diffraction maxima, in order of rising 2θ, 2θ from 10° to 80°:
hkl  Position (°2θ)  I/Imax
1 1 2  32.60  62
2 1 1  33.47  100
2 0 2  33.63  28
3 0 1  38.76  34
0 2 0  39.50  47
0 1 3  39.91  57

(5)
Tm2TiBe3Pt4: theoretical XRD peak list (Cu Kα, 1.54184 Å), based on a cell relaxed with GGA-PBE.

Structural model:
```
data_Tm2TiBe3Pt4
_symmetry_space_group_name_H-M 'P -4 m 2'
_symmetry_Int_Tables_number 115
_cell_length_a 3.9695
_cell_length_b 3.9695
_cell_length_c 10.2365
_cell_angle_alpha 90.00
_cell_angle_beta 90.00
_cell_angle_gamma 90.00
loop_
_symmetry_equiv_pos_as_xyz
'x,y,z'
'y,-x,-z'
'-x,-y,z'
'-y,x,-z'
'-x,y,z'
'-y,-x,-z'
'x,-y,z'
'y,x,-z'
loop_
_atom_site_label
_atom_site_type_symbol
_atom_site_fract_x
_atom_site_fract_y
_atom_site_fract_z
Tm1 Tm 0.0000 0.5000 0.2349
Ti1 Ti 0.0000 0.0000 0.5000
Be1 Be 0.0000 0.5000 0.8813
Be2 Be 0.5000 0.5000 0.5000
Pt1 Pt 0.0000 0.0000 0.0000
Pt2 Pt 0.0000 0.5000 0.6531
Pt3 Pt 0.5000 0.5000 0.0000
```

Largest 6 diffraction maxima, in order of rising 2θ, 2θ from 10° to 80°:
hkl  Position (°2θ)  I/Imax
0 0 3  26.12  26
1 0 2  28.46  40
1 1 1  33.09  41
1 0 3  34.67  26
1 1 2  36.51  100
2 0 0  45.71  45

(6)
U4Ga12Si: theoretical XRD peak list (Cu Kα, 1.54184 Å), based on a cell relaxed with GGA-PBE.

Structural model:
```
data_U4Ga12Si
_symmetry_space_group_name_H-M 'I m -3 m'
_symmetry_Int_Tables_number 229
_symmetry_space_group_name_Hall '-I 4 2 3'
_cell_length_a 8.6476
_cell_length_b 8.6476
_cell_length_c 8.6476
_cell_angle_alpha 90.00
_cell_angle_beta 90.00
_cell_angle_gamma 90.00
loop_
_atom_site_label
_atom_site_type_symbol
_atom_site_fract_x
_atom_site_fract_y
_atom_site_fract_z
U1 U 0.2500 0.2500 0.2500
Ga1 Ga 0.0000 0.0000 0.2968
Ga2 Ga 0.0000 0.2500 0.5000
Si1 Si 0.0000 0.0000 0.0000
```

Largest 6 diffraction maxima, in order of rising 2θ, 2θ from 10° to 80°:
hkl  Position (°2θ)  I/Imax
2 0 0  20.54  32
2 2 0  29.21  43
2 2 2  35.98  100
4 0 0  41.78  52
4 4 0  60.57  31
6 2 2  72.50  33

(7)
RbMo9S9: theoretical XRD peak list (Cu Kα, 1.54184 Å), based on a cell relaxed with GGA-PBE.

Structural model:
```
data_RbMo9S9
_symmetry_space_group_name_H-M 'P 63/m'
_symmetry_Int_Tables_number 176
_symmetry_space_group_name_Hall '-P 6c'
_cell_length_a 9.3212
_cell_length_b 9.3212
_cell_length_c 13.0994
_cell_angle_alpha 90.00
_cell_angle_beta 90.00
_cell_angle_gamma 120.00
loop_
_atom_site_label
_atom_site_type_symbol
_atom_site_fract_x
_atom_site_fract_y
_atom_site_fract_z
Rb1 Rb 0.3333 0.6667 0.2500
Mo1 Mo 0.0265 0.1810 0.2500
Mo2 Mo 0.0276 0.1825 0.5832
S1 S 0.0482 0.3304 0.7500
S2 S 0.0509 0.3313 0.0838
```

Largest 6 diffraction maxima, in order of rising 2θ, 2θ from 10° to 80°:
hkl  Position (°2θ)  I/Imax
1 0 0  10.96  100
2 1 0  29.27  8
2 1 3  35.91  15
1 0 6  42.91  7
2 2 3  44.05  15
3 1 3  45.53  13

(8)
RbNaH: theoretical XRD peak list (Cu Kα, 1.54184 Å), based on a cell relaxed with GGA-PBE.

Structural model:
```
data_RbNaH
_symmetry_space_group_name_H-M 'P 4/m m m'
_symmetry_Int_Tables_number 123
_symmetry_space_group_name_Hall '-P 4 2'
_cell_length_a 4.6967
_cell_length_b 4.6967
_cell_length_c 9.1338
_cell_angle_alpha 90.00
_cell_angle_beta 90.00
_cell_angle_gamma 90.00
loop_
_atom_site_label
_atom_site_type_symbol
_atom_site_fract_x
_atom_site_fract_y
_atom_site_fract_z
Rb1 Rb 0.0000 0.0000 0.2060
Na1 Na 0.5000 0.5000 0.0000
Na2 Na 0.5000 0.5000 0.5000
H1 H 0.0000 0.5000 0.0000
```

Largest 6 diffraction maxima, in order of rising 2θ, 2θ from 10° to 80°:
hkl  Position (°2θ)  I/Imax
1 0 0  18.89  48
1 1 0  26.84  64
1 0 2  27.24  100
1 0 3  35.13  21
2 0 0  38.33  26
2 1 2  47.66  41